Entry 1:
Calculated powder diffraction line list of Sr3Ta7SiBi9O36 for Cu Kα, from a PBE-relaxed structure.
Intensities are scaled so that the largest is 100.

Structure:
Lattice parameters (Å, degrees): 5.5325 5.5584 25.3151 91.21 90.50 90.23
Space group P1 (No. 1)
Unique sites:
Sr (0.0000, 0.0000, 0.0000)
Sr (0.0084, 0.5060, 0.5042)
Sr (0.5050, 0.0049, 0.5043)
Ta (0.0057, 0.9870, 0.4200)
Ta (0.0116, 0.9982, 0.5897)
Ta (0.4985, 0.9994, 0.9187)
Ta (0.5036, 0.4976, 0.5904)
Ta (0.5060, 0.4879, 0.4208)
Ta (0.5070, 0.9951, 0.0881)
Ta (0.9974, 0.4930, 0.0879)
Si (0.9908, 0.4892, 0.9237)
Bi (0.0294, 0.5356, 0.7096)
Bi (0.0427, 0.5606, 0.3056)
Bi (0.4749, 0.5378, 0.9924)
Bi (0.4767, 0.0315, 0.7097)
Bi (0.4784, 0.0652, 0.3062)
Bi (0.5361, 0.5370, 0.2055)
Bi (0.5446, 0.5626, 0.8090)
Bi (0.9815, 0.0327, 0.2058)
Bi (0.9867, 0.0832, 0.8132)
O (0.0545, 0.4768, 0.9948)
O (0.0816, 0.0057, 0.6620)
O (0.0836, 0.9658, 0.3457)
O (0.2269, 0.2066, 0.0860)
O (0.2321, 0.2153, 0.9196)
O (0.2338, 0.2478, 0.4357)
O (0.2409, 0.2573, 0.5703)
O (0.2528, 0.2764, 0.2516)
O (0.2540, 0.2791, 0.7600)
O (0.2587, 0.6940, 0.9212)
O (0.2671, 0.7757, 0.2517)
O (0.2686, 0.7739, 0.7581)
O (0.2765, 0.7574, 0.5720)
O (0.2791, 0.7477, 0.4343)
O (0.2871, 0.7021, 0.0841)
O (0.4318, 0.4579, 0.3458)
O (0.4435, 0.4927, 0.6623)
O (0.4629, 0.9488, 0.0016)
O (0.5564, 0.4823, 0.5015)
O (0.5657, 0.9702, 0.8460)
O (0.5729, 0.9875, 0.1602)
O (0.7228, 0.1928, 0.4160)
O (0.7350, 0.2536, 0.0690)
O (0.7355, 0.2192, 0.5874)
O (0.7448, 0.2420, 0.9352)
O (0.7531, 0.2786, 0.2550)
O (0.7592, 0.2818, 0.7575)
O (0.7659, 0.7163, 0.9347)
O (0.7677, 0.7764, 0.7554)
O (0.7682, 0.7779, 0.2553)
O (0.7814, 0.7568, 0.0702)
O (0.7823, 0.7193, 0.5893)
O (0.7901, 0.6928, 0.4149)
O (0.9442, 0.4978, 0.1597)
O (0.9477, 0.4560, 0.8565)
O (0.9596, 0.9739, 0.5017)

The 12 most intense peaks (10 to 90 degrees two-theta), low angle first:
2theta, I (rel.)
28.2, 13
28.6, 100
28.9, 46
29.1, 45
32.2, 35
32.4, 35
35.5, 20
46.2, 18
46.4, 17
48.1, 10
55.0, 14
55.5, 14

Entry 2:
Calculated powder diffraction line list of PuAl2 for Cu Kα, from a PBE-relaxed structure.
Intensities are scaled so that the largest is 100.

Structure:
Lattice parameters (Å, degrees): 7.5390 7.5390 7.5390 90.00 90.00 90.00
Space group Fd-3m (No. 227, origin choice 2)
Unique sites:
Pu (0.1250, 0.1250, 0.1250)
Al (0.0000, 0.0000, 0.5000)

The 12 most intense peaks (10 to 90 degrees two-theta), low angle first:
2theta, I (rel.)
20.4, 77
33.6, 100
39.7, 87
41.5, 2
48.3, 11
52.9, 20
60.1, 39
64.2, 29
70.7, 18
74.5, 15
80.6, 17
84.2, 11

Entry 3:
Calculated powder diffraction line list of Na3Sc2P3O12 for Cu Kα, from a PBE-relaxed structure.
Intensities are scaled so that the largest is 100.

Structure:
Lattice parameters (Å, degrees): 15.6323 9.0572 9.0991 90.00 124.84 90.00
Space group C2/c (No. 15)
Unique sites:
Na (0.1816, 0.0698, 0.2509)
Na (0.2500, 0.2500, 0.0000)
Sc (0.0978, 0.2554, 0.5546)
P (0.0000, 0.0457, 0.7500)
P (0.1501, 0.3991, 0.2548)
O (0.0497, 0.3319, 0.0909)
O (0.0664, 0.0525, 0.4196)
O (0.0793, 0.1400, 0.7401)
O (0.1558, 0.3637, 0.4264)
O (0.1593, 0.4317, 0.7424)
O (0.2423, 0.3256, 0.2602)

The 12 most intense peaks (10 to 90 degrees two-theta), low angle first:
2theta, I (rel.)
13.8, 18
19.5, 33
19.6, 15
23.0, 31
23.0, 61
27.8, 20
30.4, 16
31.1, 100
34.4, 53
44.5, 17
47.0, 26
47.1, 15

Entry 4:
Calculated powder diffraction line list of LaV for Cu Kα, from a PBE-relaxed structure.
Intensities are scaled so that the largest is 100.

Structure:
Lattice parameters (Å, degrees): 3.7394 3.7394 3.7394 90.00 90.00 90.00
Space group Pm-3m (No. 221)
Unique sites:
La (0.0000, 0.0000, 0.0000)
V (0.5000, 0.5000, 0.5000)

The 10 most intense peaks (10 to 90 degrees two-theta), low angle first:
2theta, I (rel.)
23.8, 26
33.9, 100
41.8, 8
48.7, 18
54.9, 11
60.7, 36
71.3, 11
76.4, 6
81.4, 15
86.3, 3

Entry 5:
Calculated powder diffraction line list of Ho3Pt for Cu Kα, from a PBE-relaxed structure.
Intensities are scaled so that the largest is 100.

Structure:
Lattice parameters (Å, degrees): 6.9939 9.5268 6.4636 90.00 90.00 90.00
Space group Pnma (No. 62)
Unique sites:
Ho (0.0281, 0.2500, 0.1307)
Ho (0.1820, 0.0600, 0.6759)
Pt (0.1096, 0.7500, 0.4449)

The 12 most intense peaks (10 to 90 degrees two-theta), low angle first:
2theta, I (rel.)
18.7, 32
30.5, 61
31.4, 61
31.7, 70
31.9, 100
33.5, 39
34.0, 64
34.7, 65
36.0, 42
38.3, 44
41.2, 30
48.1, 35

Entry 6:
Calculated powder diffraction line list of Nb2As for Cu Kα, from a PBE-relaxed structure.
Intensities are scaled so that the largest is 100.

Structure:
Lattice parameters (Å, degrees): 18.6189 3.5399 14.3107 90.00 90.00 90.00
Space group Pmma (No. 51)
Unique sites:
Nb (0.0000, 0.0000, 0.0000)
Nb (0.0000, 0.5000, 0.5000)
Nb (0.0015, 0.0000, 0.3429)
Nb (0.0633, 0.5000, 0.1603)
Nb (0.1196, 0.5000, 0.9318)
Nb (0.1509, 0.0000, 0.4969)
Nb (0.1645, 0.0000, 0.7383)
Nb (0.1669, 0.0000, 0.2594)
Nb (0.2500, 0.0000, 0.9449)
Nb (0.2500, 0.5000, 0.1197)
Nb (0.2500, 0.5000, 0.3802)
Nb (0.2500, 0.5000, 0.6123)
As (0.0449, 0.0000, 0.8272)
As (0.1048, 0.5000, 0.3659)
As (0.1050, 0.5000, 0.6278)
As (0.1432, 0.0000, 0.0704)
As (0.2500, 0.5000, 0.8148)

The 12 most intense peaks (10 to 90 degrees two-theta), low angle first:
2theta, I (rel.)
35.5, 15
35.7, 51
37.0, 63
37.2, 26
38.4, 45
38.6, 100
39.0, 23
40.7, 21
40.8, 18
43.2, 26
51.6, 42
66.2, 17